[1]
# SrV13O18
Computed X-ray powder pattern, Cu Kα X-rays. Input: a DFT-relaxed cell (PBE+U, Alexandria).

Largest 10 diffraction maxima, in order of falling intensity, 10° ≤ 2θ ≤ 90°:
| 2θ/deg | intensity |
| --- | --- |
| 42.1 | 100.0 |
| 60.8 | 28.4 |
| 61.5 | 25.9 |
| 23.8 | 22.1 |
| 25.0 | 16.9 |
| 27.1 | 14.9 |
| 30.7 | 12.7 |
| 77.4 | 12.1 |
| 36.4 | 10.4 |
| 36.2 | 9.5 |

```
SrV13O18
1.0
6.574 3.795 2.503
-6.574 3.795 2.503
0.000 -7.591 2.503
Sr V O
1 13 18
Direct
0.000 0.000 0.000 Sr
0.072 0.879 0.564 V
0.121 0.436 0.928 V
0.233 0.601 0.658 V
0.342 0.767 0.399 V
0.399 0.342 0.767 V
0.436 0.928 0.121 V
0.500 0.500 0.500 V
0.564 0.072 0.879 V
0.601 0.658 0.233 V
0.658 0.233 0.601 V
0.767 0.399 0.342 V
0.879 0.564 0.072 V
0.928 0.121 0.436 V
0.052 0.597 0.383 O
0.121 0.173 0.739 O
0.173 0.739 0.121 O
0.227 0.331 0.503 O
0.261 0.879 0.827 O
0.331 0.503 0.227 O
0.383 0.052 0.597 O
0.403 0.617 0.948 O
0.497 0.773 0.669 O
0.503 0.227 0.331 O
0.597 0.383 0.052 O
0.617 0.948 0.403 O
0.669 0.497 0.773 O
0.739 0.121 0.173 O
0.773 0.669 0.497 O
0.827 0.261 0.879 O
0.879 0.827 0.261 O
0.948 0.403 0.617 O
```

***

[2]
# Sr2V3O9
Computed X-ray powder pattern, Cu Kα X-rays. Input: a DFT-relaxed cell (PBE+U, Alexandria).

Largest 10 diffraction maxima, in order of falling intensity, 10° ≤ 2θ ≤ 90°:
| 2θ/deg | intensity |
| --- | --- |
| 30.5 | 100.0 |
| 28.1 | 90.3 |
| 29.2 | 74.9 |
| 26.9 | 46.0 |
| 36.6 | 42.3 |
| 24.8 | 33.4 |
| 34.7 | 31.8 |
| 51.2 | 29.7 |
| 49.6 | 25.0 |
| 60.4 | 21.7 |

```
Sr2V3O9
1.0
7.082 0.000 0.000
0.000 16.497 0.000
-3.245 0.000 6.629
Sr V O
8 12 36
Direct
0.249 0.125 0.000 Sr
0.249 0.375 0.500 Sr
0.250 0.550 0.997 Sr
0.250 0.950 0.497 Sr
0.750 0.050 0.503 Sr
0.750 0.450 0.003 Sr
0.751 0.625 0.500 Sr
0.751 0.875 0.000 Sr
0.248 0.579 0.498 V
0.248 0.921 0.998 V
0.249 0.746 0.222 V
0.249 0.754 0.722 V
0.252 0.160 0.501 V
0.252 0.340 0.001 V
0.748 0.660 0.999 V
0.748 0.840 0.499 V
0.751 0.246 0.278 V
0.751 0.254 0.778 V
0.752 0.079 0.002 V
0.752 0.421 0.502 V
0.053 0.223 0.334 O
0.053 0.277 0.834 O
0.054 0.518 0.335 O
0.054 0.982 0.835 O
0.144 0.097 0.617 O
0.144 0.403 0.117 O
0.152 0.640 0.640 O
0.152 0.860 0.140 O
0.244 0.714 0.998 O
0.244 0.786 0.498 O
0.349 0.638 0.358 O
0.349 0.862 0.858 O
0.362 0.098 0.385 O
0.362 0.402 0.885 O
0.440 0.518 0.663 O
0.440 0.982 0.163 O
0.445 0.226 0.666 O
0.445 0.274 0.166 O
0.555 0.726 0.834 O
0.555 0.774 0.334 O
0.560 0.018 0.837 O
0.560 0.482 0.337 O
0.638 0.598 0.115 O
0.638 0.902 0.615 O
0.651 0.138 0.142 O
0.651 0.362 0.642 O
0.756 0.214 0.502 O
0.756 0.286 0.002 O
0.848 0.140 0.860 O
0.848 0.360 0.360 O
0.856 0.597 0.883 O
0.856 0.903 0.383 O
0.946 0.018 0.165 O
0.946 0.482 0.665 O
0.947 0.723 0.166 O
0.947 0.777 0.666 O
```

***

[3]
# Sr2V3O9
Computed X-ray powder pattern, Cu Kα X-rays. Input: a DFT-relaxed cell (PBE+U, Alexandria).

Largest 10 diffraction maxima, in order of falling intensity, 10° ≤ 2θ ≤ 90°:
| 2θ/deg | intensity |
| --- | --- |
| 30.5 | 100.0 |
| 28.1 | 90.3 |
| 29.1 | 63.0 |
| 26.9 | 46.2 |
| 24.8 | 34.2 |
| 34.7 | 32.0 |
| 51.2 | 29.7 |
| 29.0 | 22.4 |
| 36.6 | 21.9 |
| 49.6 | 21.8 |

```
Sr2V3O9
1.0
7.085 0.000 0.000
-3.250 6.630 0.000
-1.919 -3.298 8.248
Sr V O
4 6 18
Direct
0.000 0.000 0.000 Sr
0.175 0.670 0.350 Sr
0.421 0.423 0.849 Sr
0.599 0.100 0.199 Sr
0.210 0.206 0.419 V
0.391 0.888 0.780 V
0.630 0.627 0.257 V
0.796 0.070 0.591 V
0.804 0.579 0.608 V
0.970 0.469 0.942 V
0.005 0.266 0.821 O
0.038 0.258 0.292 O
0.078 0.107 0.549 O
0.128 0.656 0.654 O
0.225 0.694 0.061 O
0.259 0.028 0.296 O
0.346 0.068 0.905 O
0.376 0.402 0.135 O
0.470 0.439 0.548 O
0.518 0.985 0.647 O
0.564 0.836 0.905 O
0.590 0.828 0.375 O
0.762 0.730 0.135 O
0.770 0.262 0.527 O
0.789 0.547 0.379 O
0.808 0.549 0.822 O
0.841 0.367 0.066 O
0.842 0.834 0.671 O
```

***

[4]
# SrV4O9
Computed X-ray powder pattern, Cu Kα X-rays. Input: a DFT-relaxed cell (PBE+U, Alexandria).

Largest 10 diffraction maxima, in order of falling intensity, 10° ≤ 2θ ≤ 90°:
| 2θ/deg | intensity |
| --- | --- |
| 28.5 | 100.0 |
| 33.4 | 36.6 |
| 48.0 | 30.5 |
| 16.0 | 29.6 |
| 21.9 | 26.1 |
| 56.8 | 19.2 |
| 51.0 | 18.6 |
| 34.0 | 18.3 |
| 55.3 | 15.9 |
| 26.5 | 15.5 |

```
SrV4O9
1.0
8.472 0.000 0.000
0.000 8.472 0.000
0.000 0.000 5.540
Sr V O
2 8 18
Direct
0.250 0.250 0.141 Sr
0.750 0.750 0.859 Sr
0.035 0.660 0.384 V
0.160 0.965 0.616 V
0.340 0.535 0.616 V
0.465 0.840 0.384 V
0.535 0.160 0.616 V
0.660 0.465 0.384 V
0.840 0.035 0.384 V
0.965 0.340 0.616 V
0.002 0.677 0.092 O
0.042 0.143 0.463 O
0.143 0.458 0.463 O
0.177 0.998 0.908 O
0.250 0.750 0.500 O
0.323 0.502 0.908 O
0.357 0.042 0.463 O
0.458 0.357 0.463 O
0.498 0.823 0.092 O
0.502 0.177 0.908 O
0.542 0.643 0.537 O
0.643 0.958 0.537 O
0.677 0.498 0.092 O
0.750 0.250 0.500 O
0.823 0.002 0.092 O
0.857 0.542 0.537 O
0.958 0.857 0.537 O
0.998 0.323 0.908 O
```

***

[5]
# SrV2ZnO6
Computed X-ray powder pattern, Cu Kα X-rays. Input: a DFT-relaxed cell (PBE+U, Alexandria).

Largest 10 diffraction maxima, in order of falling intensity, 10° ≤ 2θ ≤ 90°:
| 2θ/deg | intensity |
| --- | --- |
| 21.3 | 100.0 |
| 27.9 | 100.0 |
| 33.2 | 66.4 |
| 29.5 | 65.0 |
| 32.8 | 58.7 |
| 31.3 | 48.4 |
| 25.8 | 45.2 |
| 26.0 | 44.8 |
| 22.2 | 42.4 |
| 38.0 | 40.3 |

```
SrV2ZnO6
1.0
4.607 -5.635 0.000
4.607 5.635 0.000
-2.693 0.000 5.717
Sr V Zn O
2 4 2 12
Direct
0.100 0.900 0.750 Sr
0.900 0.100 0.250 Sr
0.284 0.448 0.834 V
0.448 0.284 0.334 V
0.552 0.716 0.666 V
0.716 0.552 0.166 V
0.193 0.807 0.250 Zn
0.807 0.193 0.750 Zn
0.061 0.219 0.686 O
0.177 0.632 0.940 O
0.219 0.061 0.186 O
0.343 0.429 0.547 O
0.368 0.823 0.560 O
0.429 0.343 0.047 O
0.571 0.657 0.953 O
0.632 0.177 0.440 O
0.657 0.571 0.453 O
0.781 0.939 0.814 O
0.823 0.368 0.060 O
0.939 0.781 0.314 O
```

***

[6]
# Sr3V2ZnO9
Computed X-ray powder pattern, Cu Kα X-rays. Input: a DFT-relaxed cell (PBE+U, Alexandria).

Largest 10 diffraction maxima, in order of falling intensity, 10° ≤ 2θ ≤ 90°:
| 2θ/deg | intensity |
| --- | --- |
| 32.1 | 100.0 |
| 32.3 | 97.9 |
| 46.2 | 77.0 |
| 57.5 | 55.4 |
| 67.5 | 21.8 |
| 67.2 | 21.3 |
| 39.8 | 21.0 |
| 57.2 | 17.9 |
| 76.7 | 16.2 |
| 76.5 | 15.7 |

```
Sr3V2ZnO9
1.0
5.549 0.000 0.000
-2.775 4.806 0.000
0.000 0.000 6.836
Sr V Zn O
3 2 1 9
Direct
0.000 0.000 0.000 Sr
0.333 0.667 0.677 Sr
0.667 0.333 0.323 Sr
0.333 0.667 0.178 V
0.667 0.333 0.822 V
0.000 0.000 0.500 Zn
0.000 0.500 0.000 O
0.174 0.347 0.321 O
0.174 0.826 0.321 O
0.347 0.174 0.679 O
0.500 0.000 0.000 O
0.500 0.500 0.000 O
0.653 0.826 0.321 O
0.826 0.174 0.679 O
0.826 0.653 0.679 O
```

***

[7]
# Sr2ZrVO6
Computed X-ray powder pattern, Cu Kα X-rays. Input: a DFT-relaxed cell (PBE+U, Alexandria).

Largest 10 diffraction maxima, in order of falling intensity, 10° ≤ 2θ ≤ 90°:
| 2θ/deg | intensity |
| --- | --- |
| 31.4 | 100.0 |
| 31.5 | 34.6 |
| 31.1 | 33.9 |
| 31.0 | 32.1 |
| 44.3 | 25.3 |
| 44.7 | 23.8 |
| 45.7 | 21.3 |
| 56.2 | 20.4 |
| 55.5 | 20.3 |
| 55.3 | 14.5 |

```
Sr2ZrVO6
1.0
5.676 0.000 0.000
-0.122 5.681 0.000
-2.787 -2.831 4.086
Sr Zr V O
2 1 1 6
Direct
0.250 0.243 0.495 Sr
0.750 0.757 0.505 Sr
0.000 0.500 0.000 Zr
0.500 0.000 0.000 V
0.220 0.208 0.003 O
0.277 0.705 0.954 O
0.279 0.783 0.511 O
0.721 0.217 0.489 O
0.723 0.295 0.046 O
0.780 0.792 0.997 O
```

***

[8]
# SrW2O
Computed X-ray powder pattern, Cu Kα X-rays. Input: a DFT-relaxed cell (PBE+U, Alexandria).

Largest 10 diffraction maxima, in order of falling intensity, 10° ≤ 2θ ≤ 90°:
| 2θ/deg | intensity |
| --- | --- |
| 31.9 | 100.0 |
| 33.4 | 72.4 |
| 16.5 | 52.2 |
| 55.9 | 41.4 |
| 51.0 | 36.6 |
| 66.7 | 30.0 |
| 79.1 | 23.5 |
| 38.7 | 18.5 |
| 27.1 | 16.2 |
| 42.3 | 14.7 |

```
SrW2O
1.0
0.000 4.652 4.652
4.652 0.000 4.652
4.652 4.652 0.000
Sr W O
2 4 2
Direct
0.125 0.125 0.125 Sr
0.875 0.875 0.875 Sr
0.000 0.500 0.500 W
0.500 0.000 0.500 W
0.500 0.500 0.000 W
0.500 0.500 0.500 W
0.375 0.375 0.375 O
0.625 0.625 0.625 O
```